The following is a simulated PXRD pattern of Ba2La2MnW2O12. It was derived from a cell relaxed with GGA+U, using Cu Ka.
Lines closer than 0.1° are merged.

Structure:
a = 9.849 Å, b = 9.849 Å, c = 9.849 Å
α = 34.24°, β = 34.24°, γ = 34.24°
Fractional positions:
Ba1 0.135 0.135 0.135
Ba2 0.865 0.865 0.865
La1 0.293 0.293 0.293
La2 0.707 0.707 0.707
Mn1 0.000 0.000 0.000
W1 0.419 0.419 0.419
W2 0.581 0.581 0.581
O1 0.118 0.617 0.617
O2 0.220 0.220 0.675
O3 0.220 0.675 0.220
O4 0.325 0.780 0.780
O5 0.383 0.383 0.882
O6 0.383 0.882 0.383
O7 0.617 0.118 0.617
O8 0.617 0.617 0.118
O9 0.675 0.220 0.220
O10 0.780 0.325 0.780
O11 0.780 0.780 0.325
O12 0.882 0.383 0.383

Principal peaks in the range 2θ = 5–70°, by intensity:
Position (°2θ)  I/Imax
28.67  1000
30.85  936
42.61  499
53.52  369
54.86  187
64.27  174